(1)
The following is a simulated XRD peak list of Pr2Sm3Y2. It was derived from a DFT-relaxed cell (GGA-PBE, Alexandria), using CuKα.
Neutral-atom scattering factors, no anomalous dispersion.

Top 8 peaks for 2θ from 5° to 70°, by angle:
2.972 Å, I 100; 2.956 Å, I 33; 2.571 Å, I 67; 1.821 Å, I 24; 1.815 Å, I 16; 1.553 Å, I 24; 1.550 Å, I 19; 1.546 Å, I 14

Structure:
```
7
Lattice="3.644 0.000 0.000 -1.812 6.004 0.000 -0.009 -1.087 10.868" Properties=species:S:1:pos:R:3 pbc="T T T"
Pr 0.001 2.193 3.866
Pr 1.822 2.725 7.002
Sm -0.004 3.280 10.105
Sm 1.817 -0.543 5.434
Sm 1.828 1.638 0.762
Y -0.004 -0.011 8.564
Y 1.828 4.929 2.304
```



(2)
The following is a simulated XRD peak list of CsAgH6Ir. It was derived from a DFT-relaxed cell (GGA-PBE, Alexandria), using CuKα.
Neutral-atom scattering factors, no anomalous dispersion.

Top 8 peaks for 2θ from 5° to 70°, by angle:
5.855 Å, I 62; 3.648 Å, I 89; 3.411 Å, I 100; 3.373 Å, I 100; 2.928 Å, I 69; 2.611 Å, I 49; 2.559 Å, I 46; 1.949 Å, I 45

Structure:
```
9
Lattice="4.651 0.000 0.000 0.000 5.855 0.000 -2.225 0.000 4.663" Properties=species:S:1:pos:R:3 pbc="T T T"
Cs 0.000 0.000 0.000
Ag 0.089 2.928 3.029
H -0.559 2.928 1.235
H 2.307 1.874 0.047
H 2.307 3.982 0.047
H 2.352 1.357 1.847
H 2.352 4.498 1.847
H 2.355 2.928 2.991
Ir 2.383 2.928 1.350
```



(3)
The following is a simulated XRD peak list of Na5Pa3Se8. It was derived from a DFT-relaxed cell (GGA-PBE, Alexandria), using CuKα.
Neutral-atom scattering factors, no anomalous dispersion.

Top 8 peaks for 2θ from 5° to 70°, by angle:
7.014 Å, I 54; 6.847 Å, I 17; 3.568 Å, I 25; 2.982 Å, I 100; 2.128 Å, I 37; 2.090 Å, I 37; 2.003 Å, I 16; 1.712 Å, I 19

Structure:
```
16
Lattice="4.180 2.414 7.014 -4.180 2.414 7.014 0.000 -4.827 7.014" Properties=species:S:1:pos:R:3 pbc="T T T"
Na 0.000 0.000 0.000
Na -2.090 -1.207 7.014
Na -2.090 1.207 14.028
Na 0.000 2.414 7.014
Na 0.000 0.000 10.521
Pa -4.180 0.000 10.521
Pa -2.090 1.207 3.507
Pa 2.090 1.207 3.507
Se -2.161 -1.248 12.148
Se 0.000 0.000 5.150
Se 0.000 -2.496 8.895
Se -2.161 1.248 8.895
Se 2.161 -1.248 12.148
Se 0.000 2.496 12.148
Se 0.000 0.000 15.892
Se 2.161 1.248 8.895
```



(4)
The following is a simulated XRD peak list of TmMg2Cd6. It was derived from a DFT-relaxed cell (GGA-PBE, Alexandria), using CuKα.
Neutral-atom scattering factors, no anomalous dispersion.

Top 8 peaks for 2θ from 5° to 70°, by angle:
9.076 Å, I 56; 3.777 Å, I 32; 2.657 Å, I 21; 2.518 Å, I 51; 2.509 Å, I 100; 2.484 Å, I 84; 2.352 Å, I 49; 1.719 Å, I 34

Structure:
```
18
Lattice="7.477 -5.709 0.000 7.477 5.709 0.000 0.000 0.000 5.037" Properties=species:S:1:pos:R:3 pbc="T T T"
Tm 7.477 3.553 3.777
Tm 7.477 -3.553 1.259
Mg 5.151 0.888 3.777
Mg 5.151 -0.888 1.259
Mg 9.804 0.888 3.777
Mg 9.804 -0.888 1.259
Cd 1.560 0.760 3.777
Cd 3.143 1.825 1.259
Cd 1.560 -0.760 1.259
Cd 6.053 2.005 1.259
Cd 3.143 -1.825 3.777
Cd 8.902 2.005 1.259
Cd 6.053 -2.005 3.777
Cd 11.811 1.825 1.259
Cd 8.902 -2.005 3.777
Cd 13.394 0.760 3.777
Cd 11.811 -1.825 3.777
Cd 13.394 -0.760 1.259
```



(5)
The following is a simulated XRD peak list of Ce2Zr3Se8. It was derived from a DFT-relaxed cell (GGA-PBE, Alexandria), using CuKα.
Neutral-atom scattering factors, no anomalous dispersion.

Top 8 peaks for 2θ from 5° to 70°, by angle:
4.348 Å, I 43; 3.833 Å, I 33; 3.178 Å, I 29; 2.631 Å, I 57; 2.598 Å, I 100; 2.231 Å, I 39; 1.934 Å, I 59; 1.930 Å, I 28

Structure:
```
13
Lattice="7.259 -3.860 0.000 7.259 3.860 0.000 -1.966 0.000 6.410" Properties=species:S:1:pos:R:3 pbc="T T T"
Ce 2.958 0.000 2.055
Ce 9.593 0.000 4.355
Zr -0.983 0.000 3.205
Zr 7.259 1.920 0.000
Zr 7.259 -1.920 0.000
Se -0.094 0.000 5.768
Se 4.456 1.924 3.792
Se 8.096 1.924 2.617
Se 5.477 0.000 0.561
Se 7.075 0.000 5.849
Se 4.456 -1.924 3.792
Se 8.096 -1.924 2.617
Se 12.645 0.000 0.642
```



(6)
The following is a simulated XRD peak list of K2AsS4. It was derived from a DFT-relaxed cell (GGA-PBE, Alexandria), using CuKα.
Neutral-atom scattering factors, no anomalous dispersion.

Top 8 peaks for 2θ from 5° to 70°, by angle:
5.558 Å, I 100; 3.332 Å, I 20; 3.153 Å, I 27; 2.903 Å, I 21; 2.779 Å, I 29; 2.406 Å, I 18; 1.965 Å, I 20; 1.853 Å, I 21

Structure:
```
7
Lattice="0.000 5.887 4.171 4.814 0.000 4.171 4.814 5.887 0.000" Properties=species:S:1:pos:R:3 pbc="T T T"
K 2.407 2.944 0.000
K 2.407 2.944 4.171
As 4.814 5.887 3.303
S 4.814 4.032 2.189
S 4.814 7.743 2.189
S 6.279 5.887 4.959
S 3.350 5.887 4.959
```



(7)
The following is a simulated XRD peak list of MnNi7Sb2Pd2. It was derived from a DFT-relaxed cell (GGA-PBE, Alexandria), using CuKα.
Neutral-atom scattering factors, no anomalous dispersion.

Top 8 peaks for 2θ from 5° to 70°, by angle:
2.955 Å, I 44; 2.454 Å, I 52; 2.418 Å, I 67; 2.325 Å, I 54; 2.175 Å, I 85; 2.061 Å, I 100; 2.014 Å, I 53; 1.735 Å, I 81

Structure:
```
12
Lattice="2.454 -2.454 0.000 2.454 2.454 0.000 -2.428 0.000 14.092" Properties=species:S:1:pos:R:3 pbc="T T T"
Mn 0.000 0.000 0.000
Ni 1.226 1.227 1.789
Ni 0.016 0.000 7.619
Ni 1.254 1.227 12.304
Ni 2.454 0.000 0.000
Ni 1.226 -1.227 1.789
Ni 2.465 0.000 6.474
Ni 1.254 -1.227 12.304
Sb 0.001 0.000 5.131
Sb 2.480 0.000 8.962
Pd 0.028 0.000 10.332
Pd 2.452 0.000 3.760
```



(8)
The following is a simulated XRD peak list of YEr3As4. It was derived from a DFT-relaxed cell (GGA-PBE, Alexandria), using CuKα.
Neutral-atom scattering factors, no anomalous dispersion.

Top 8 peaks for 2θ from 5° to 70°, by angle:
5.785 Å, I 3; 4.090 Å, I 3; 3.340 Å, I 18; 2.892 Å, I 100; 2.045 Å, I 74; 1.744 Å, I 9; 1.670 Å, I 26; 1.446 Å, I 12

Structure:
```
8
Lattice="5.785 0.000 0.000 0.000 5.785 0.000 0.000 0.000 5.785" Properties=species:S:1:pos:R:3 pbc="T T T"
Y 0.000 0.000 0.000
Er 0.000 2.892 2.892
Er 2.892 0.000 2.892
Er 2.892 2.892 0.000
As 0.000 0.000 2.892
As 0.000 2.892 0.000
As 2.892 0.000 0.000
As 2.892 2.892 2.892
```